Structure and calculated X-ray powder pattern of Fe2As2PbO10 (a GGA+U-relaxed structure; Cu Kα X-rays).
No peak broadening, texture or thermal motion is included.

Structural model:
a b c (Å): 7.842 16.925 11.963
angles (deg): 90.00 90.00 90.00
Space group Cccm (No. 66)
Symmetry-distinct sites (fractional):
1 Fe 0.132 0.125 0.130 (multiplicity 16)
2 As 0.000 0.288 0.250 (multiplicity 8)
3 As 0.232 0.040 0.500 (multiplicity 8)
4 Pb 0.000 0.500 0.250 (multiplicity 4)
5 Pb 0.250 0.250 0.500 (multiplicity 4)
6 O 0.000 0.087 0.250 (multiplicity 8)
7 O 0.008 0.226 0.365 (multiplicity 16)
8 O 0.033 0.087 0.500 (multiplicity 8)
9 O 0.117 0.389 0.500 (multiplicity 8)
10 O 0.177 0.348 0.243 (multiplicity 16)
11 O 0.241 0.161 0.000 (multiplicity 8)
12 O 0.250 0.019 0.117 (multiplicity 16)

Top 10 peaks for 2θ = 10–80°, by angle:
hkl, 2theta, I_rel
1 1 1, 14.48, 301
1 1 2, 19.39, 692
1 1 3, 25.61, 510
2 0 2, 27.19, 1000
1 5 0, 28.72, 343
1 5 1, 29.70, 599
1 5 2, 32.47, 619
2 4 2, 34.61, 754
4 4 0, 51.39, 475
4 0 4, 56.11, 348